Starting from a crystal structure in Alexandria, relaxed with GGA-PBE, the X-ray powder pattern of SiPb2O4 was computed for a wavelength of 1.5418 Å.
No peak broadening, texture or thermal motion is included.

Peak list (10 most intense, 10° ≤ 2θ ≤ 90°, in order of falling intensity)
hkl, Position (°2θ), I_rel
2 0 -2, 29.0, 100
1 3 0, 31.0, 82
0 0 2, 26.9, 60
0 2 1, 22.5, 50
1 3 -2, 36.5, 41
3 3 -2, 48.7, 40
1 3 2, 46.0, 34
4 0 -2, 52.7, 30
1 1 -1, 17.0, 25
2 2 -1, 31.5, 25

Cell and atoms:
a = 6.9518 Å, b = 9.8094 Å, c = 7.4775 Å
α = 90.00°, β = 117.54°, γ = 90.00°
Space group C2/c (No. 15)
Unique sites:
Si 0.0000 0.1259 0.2500
Pb 0.0000 0.1925 0.7500
Pb 0.0000 0.4439 0.2500
O 0.0701 0.2320 0.1166
O 0.2021 0.0200 0.3852

***

Starting from a crystal structure in Alexandria, relaxed with GGA-PBE, the X-ray powder pattern of La2CeTmAs4 was computed for a wavelength of 1.5418 Å.
No peak broadening, texture or thermal motion is included.

Peak list (10 most intense, 10° ≤ 2θ ≤ 90°, in order of falling intensity)
hkl, Position (°2θ), I_rel
1 1 1, 29.7, 100
0 2 0, 42.4, 50
3 1 -1, 42.5, 25
1 3 1, 69.8, 22
2 2 -2, 52.6, 20
0 0 2, 25.6, 18
3 3 -1, 77.7, 12
2 2 2, 61.6, 12
4 2 0, 69.9, 11
1 3 -3, 77.6, 10

Cell and atoms:
a = 7.3602 Å, b = 4.2597 Å, c = 7.3861 Å
α = 90.00°, β = 109.43°, γ = 90.00°
Space group P2/m (No. 10)
Unique sites:
La 0.0000 0.0000 0.0000
La 0.5000 0.5000 0.0000
Ce 0.0000 0.5000 0.5000
Tm 0.5000 0.0000 0.5000
As 0.2487 0.0000 0.7366
As 0.2575 0.5000 0.2653